(1)
Starting from a structure optimized by DFT (PBE), the powder X-ray diffraction pattern of Na2YNpO4 was simulated for Cu Kα X-rays.
Kinematic intensities with the Lorentz-polarization factor, no thermal factor.

Cell and atoms:
a b c (Å): 5.991 3.469 5.994
angles (deg): 90.00 109.62 90.00
Atoms (fractional coordinates):
Na1 0.000 0.000 0.000
Na2 0.500 0.500 0.000
Y1 0.000 0.500 0.500
Np1 0.500 0.000 0.500
O1 0.235 0.000 0.715
O2 0.260 0.500 0.283
O3 0.740 0.500 0.717
O4 0.765 0.000 0.285

Largest 10 diffraction maxima, by angle, 10 to 90 degrees two-theta:
| 2θ (°) | I_rel |
| --- | --- |
| 15.70 | 100 |
| 30.26 | 57 |
| 31.64 | 52 |
| 31.71 | 17 |
| 36.71 | 71 |
| 40.11 | 16 |
| 48.34 | 24 |
| 52.89 | 31 |
| 55.46 | 16 |
| 62.91 | 19 |

(2)
Starting from a structure optimized by DFT (PBE), the powder X-ray diffraction pattern of NaYNp2O8 was simulated for Cu Kα X-rays.
Kinematic intensities with the Lorentz-polarization factor, no thermal factor.

Cell and atoms:
a b c (Å): 6.413 6.413 6.413
angles (deg): 130.90 130.90 71.98
Atoms (fractional coordinates):
Na1 0.000 0.000 0.000
Y1 0.250 0.750 0.500
Np1 0.500 0.500 0.000
Np2 0.750 0.250 0.500
O1 0.128 0.148 0.529
O2 0.128 0.598 0.979
O3 0.402 0.381 0.529
O4 0.402 0.872 0.021
O5 0.619 0.148 0.021
O6 0.619 0.598 0.471
O7 0.852 0.381 0.979
O8 0.852 0.872 0.471

Largest 10 diffraction maxima, by angle, 10 to 90 degrees two-theta:
| 2θ (°) | I_rel |
| --- | --- |
| 18.72 | 58 |
| 29.29 | 100 |
| 30.81 | 15 |
| 33.63 | 21 |
| 38.76 | 17 |
| 48.30 | 18 |
| 49.00 | 35 |
| 57.50 | 31 |
| 58.73 | 14 |
| 79.38 | 12 |

(3)
Starting from a structure optimized by DFT (PBE), the powder X-ray diffraction pattern of NaNpPaS4 was simulated for Cu Kα X-rays.
Kinematic intensities with the Lorentz-polarization factor, no thermal factor.

Cell and atoms:
a b c (Å): 8.193 8.193 8.193
angles (deg): 120.33 120.00 89.71
Atoms (fractional coordinates):
Na1 0.379 0.129 0.250
Na2 0.621 0.871 0.750
Np1 0.000 0.000 0.500
Np2 0.000 0.500 0.000
Pa1 0.000 0.500 0.500
Pa2 0.500 0.500 0.000
S1 0.209 0.732 0.477
S2 0.239 0.267 0.528
S3 0.239 0.711 0.972
S4 0.245 0.268 0.977
S5 0.755 0.732 0.023
S6 0.761 0.289 0.028
S7 0.761 0.733 0.472
S8 0.791 0.268 0.523

Largest 10 diffraction maxima, by angle, 10 to 90 degrees two-theta:
| 2θ (°) | I_rel |
| --- | --- |
| 13.25 | 100 |
| 25.48 | 49 |
| 25.59 | 25 |
| 26.67 | 40 |
| 30.79 | 21 |
| 30.95 | 42 |
| 33.72 | 18 |
| 40.55 | 23 |
| 44.22 | 45 |
| 46.34 | 19 |

(4)
Starting from a structure optimized by DFT (PBE), the powder X-ray diffraction pattern of NaNpTe3Pd was simulated for Cu Kα X-rays.
Kinematic intensities with the Lorentz-polarization factor, no thermal factor.

Cell and atoms:
a b c (Å): 8.512 4.328 10.203
angles (deg): 90.00 105.01 90.00
Atoms (fractional coordinates):
Na1 0.204 0.250 0.275
Na2 0.796 0.750 0.725
Np1 0.315 0.750 0.836
Np2 0.685 0.250 0.164
Te1 0.078 0.250 0.856
Te2 0.246 0.750 0.533
Te3 0.423 0.750 0.151
Te4 0.577 0.250 0.849
Te5 0.754 0.250 0.467
Te6 0.922 0.750 0.144
Pd1 0.087 0.250 0.587
Pd2 0.913 0.750 0.413

Largest 10 diffraction maxima, by angle, 10 to 90 degrees two-theta:
| 2θ (°) | I_rel |
| --- | --- |
| 12.10 | 100 |
| 23.22 | 26 |
| 27.15 | 40 |
| 29.64 | 44 |
| 29.98 | 48 |
| 33.74 | 30 |
| 41.73 | 25 |
| 42.54 | 19 |
| 43.02 | 35 |
| 44.73 | 18 |